(1)
HfZrAu2: simulated X-ray diffraction stick pattern (Cu Kα (λ = 1.5418 Å)), based on a GGA-PBE-relaxed structure.
Kinematic intensities with the Lorentz-polarization factor, no thermal factor.

Most intense lines, 2θ = 15–90°, low angle first:
2θ/deg  d [Å]  I (rel.)
36.24  2.479  100
36.52  2.460  98
41.05  2.199  35
41.34  2.184  35
44.32  2.044  29
61.99  1.497  21
62.21  1.492  21
71.47  1.320  14
71.86  1.314  14
72.01  1.311  14

Cell and atoms:
a = 3.0807 Å, b = 4.0876 Å, c = 6.2359 Å
α = 90.00°, β = 90.38°, γ = 90.00°
Atoms (fractional coordinates):
Hf: 0.0000 0.0000 0.0000
Zr: 0.0000 0.0000 0.5000
Au: 0.4999 0.5000 0.2446
Au: 0.5001 0.5000 0.7554

***

(2)
Ca3Si5Rh6: simulated X-ray diffraction stick pattern (Cu Kα (λ = 1.5418 Å)), based on a GGA-PBE-relaxed structure.
Kinematic intensities with the Lorentz-polarization factor, no thermal factor.

Most intense lines, 2θ = 15–90°, low angle first:
2θ/deg  d [Å]  I (rel.)
18.21  4.872  82
32.44  2.760  56
34.90  2.571  22
35.80  2.508  25
36.25  2.478  100
42.98  2.104  29
43.56  2.078  23
45.99  1.974  36
48.97  1.860  48
66.06  1.414  22

Cell and atoms:
a = 3.9473 Å, b = 12.6235 Å, c = 9.7432 Å
α = 90.00°, β = 90.00°, γ = 90.00°
Atoms (fractional coordinates):
Ca: 0.2500 0.0983 0.2497
Ca: 0.2500 0.4017 0.2497
Ca: 0.2500 0.7500 0.2403
Ca: 0.7500 0.2500 0.7597
Ca: 0.7500 0.5983 0.7503
Ca: 0.7500 0.9017 0.7503
Si: 0.2500 0.0738 0.6500
Si: 0.2500 0.4262 0.6500
Si: 0.2500 0.6247 0.9913
Si: 0.2500 0.7500 0.5953
Si: 0.2500 0.8753 0.9913
Si: 0.7500 0.1247 0.0087
Si: 0.7500 0.2500 0.4047
Si: 0.7500 0.3753 0.0087
Si: 0.7500 0.5738 0.3500
Si: 0.7500 0.9262 0.3500
Rh: 0.2500 0.0509 0.8996
Rh: 0.2500 0.2500 0.0111
Rh: 0.2500 0.2500 0.5290
Rh: 0.2500 0.4491 0.8996
Rh: 0.2500 0.5807 0.4893
Rh: 0.2500 0.9193 0.4893
Rh: 0.7500 0.0807 0.5107
Rh: 0.7500 0.4193 0.5107
Rh: 0.7500 0.5509 0.1004
Rh: 0.7500 0.7500 0.4710
Rh: 0.7500 0.7500 0.9889
Rh: 0.7500 0.9491 0.1004

***

(3)
Tb3Ho3Al: simulated X-ray diffraction stick pattern (Cu Kα (λ = 1.5418 Å)), based on a GGA-PBE-relaxed structure.
Kinematic intensities with the Lorentz-polarization factor, no thermal factor.

Most intense lines, 2θ = 15–90°, low angle first:
2θ/deg  d [Å]  I (rel.)
27.55  3.238  8
29.39  3.039  25
32.78  2.732  25
33.75  2.656  100
44.60  2.032  16
52.13  1.754  19
59.14  1.562  20
62.96  1.476  22
63.56  1.464  15
86.61  1.124  11

Cell and atoms:
a = 9.2836 Å, b = 9.2836 Å, c = 5.4634 Å
α = 90.00°, β = 90.00°, γ = 120.00°
Atoms (fractional coordinates):
Tb: 0.1069 0.6236 0.2500
Tb: 0.3764 0.4833 0.2500
Tb: 0.4833 0.1069 0.7500
Tb: 0.5167 0.8931 0.2500
Tb: 0.6236 0.5167 0.7500
Tb: 0.8931 0.3764 0.7500
Ho: 0.0672 0.8219 0.7500
Ho: 0.1781 0.2453 0.7500
Ho: 0.2453 0.0672 0.2500
Ho: 0.7547 0.9328 0.7500
Ho: 0.8219 0.7547 0.2500
Ho: 0.9328 0.1781 0.2500
Al: 0.3333 0.6667 0.7500
Al: 0.6667 0.3333 0.2500